For SiTeMo, a cell relaxed with PBE gives the theoretical powder XRD pattern in this record (Cu Ka).
Peak positions follow from Bragg's law for the DFT cell and can differ from measured ones.

Cell and atoms:
a = 3.459 Å, b = 3.459 Å, c = 5.456 Å
α = 90.00°, β = 90.00°, γ = 90.00°
Atoms (fractional coordinates):
Si1 0.000 0.000 0.000
Te1 0.500 0.500 0.500
Mo1 0.500 0.500 0.000

The 8 most intense peaks (2θ from 10° to 90°), sorted by position:
Position (°2θ), intensity, index
25.75, 100, 1 0 0
32.83, 45, 0 0 2
36.74, 66, 1 1 0
42.19, 53, 1 0 2
50.09, 53, 1 1 2
52.94, 22, 2 0 0
63.71, 25, 2 0 2
69.90, 23, 2 1 2